# 1
Structure and calculated X-ray diffraction stick pattern of Y2Cu5Ni12 (a structure optimized by DFT (PBE); Cu Ka).
Intensities are scaled so that the largest is 100.

Atomic structure:
```
data_Y2Cu5Ni12
_cell_length_a 8.3229
_cell_length_b 8.3229
_cell_length_c 8.0902
_cell_angle_alpha 90.00
_cell_angle_beta 90.00
_cell_angle_gamma 120.00
_space_group_name_H-M_alt 'P 63/m m c'
_space_group_IT_number 194
_space_group_name_Hall '-P 6c 2c'
loop_
_atom_site_label
_atom_site_fract_x
_atom_site_fract_y
_atom_site_fract_z
_atom_site_occupancy
Y1 0.0000 0.0000 0.2500 1
Y2 0.3333 0.6667 0.2500 1
Cu1 0.0000 0.5000 0.0000 1
Cu2 0.3333 0.6667 0.6041 1
Ni1 0.0403 0.3663 0.7500 1
Ni2 0.1644 0.3288 0.0210 1
```

Main lines, most intense first (10° ≤ 2θ ≤ 80°):
2θ (°), I (rel.), index
43.8, 100, 3 0 2
43.5, 65, 2 2 0
49.2, 56, 2 2 2
41.8, 42, 2 0 3
37.4, 36, 3 0 0
44.8, 35, 0 0 4
79.8, 20, 6 0 0
30.8, 15, 1 1 2
72.0, 15, 3 3 2
50.1, 13, 1 1 4
64.2, 13, 2 2 4
47.4, 11, 2 1 3

***

# 2
Structure and calculated X-ray diffraction stick pattern of RbCuOs (a structure optimized by DFT (PBE); Cu Ka).
Intensities are scaled so that the largest is 100.

Atomic structure:
```
data_RbCuOs
_cell_length_a 6.6929
_cell_length_b 6.6929
_cell_length_c 6.6929
_cell_angle_alpha 90.00
_cell_angle_beta 90.00
_cell_angle_gamma 90.00
_space_group_name_H-M_alt 'F -4 3 m'
_space_group_IT_number 216
_space_group_name_Hall 'F -4 2 3'
loop_
_atom_site_label
_atom_site_fract_x
_atom_site_fract_y
_atom_site_fract_z
_atom_site_occupancy
Rb1 0.0000 0.0000 0.0000 1
Cu1 0.2500 0.2500 0.7500 1
Os1 0.0000 0.0000 0.5000 1
```

Main lines, most intense first (10° ≤ 2θ ≤ 80°):
2θ (°), I (rel.), index
38.0, 100, 2 2 0
26.6, 45, 2 0 0
68.7, 35, 4 2 2
23.0, 30, 1 1 1
62.0, 18, 4 2 0
54.9, 17, 4 0 0
44.9, 16, 3 1 1
47.0, 13, 2 2 2
60.3, 7, 3 3 1
73.5, 5, 5 1 1

***

# 3
Structure and calculated X-ray diffraction stick pattern of CuOs3S5 (a structure optimized by DFT (PBE); Cu Ka).
Intensities are scaled so that the largest is 100.

Atomic structure:
```
data_CuOs3S5
_cell_length_a 5.6272
_cell_length_b 5.6272
_cell_length_c 6.4958
_cell_angle_alpha 90.00
_cell_angle_beta 90.00
_cell_angle_gamma 120.00
_space_group_name_H-M_alt 'P 6/m m m'
_space_group_IT_number 191
_space_group_name_Hall '-P 6 2'
loop_
_atom_site_label
_atom_site_fract_x
_atom_site_fract_y
_atom_site_fract_z
_atom_site_occupancy
Cu1 0.0000 0.0000 0.0000 1
Os1 0.0000 0.5000 0.5000 1
S1 0.0000 0.0000 0.5000 1
S2 0.3333 0.6667 0.2410 1
```

Main lines, most intense first (10° ≤ 2θ ≤ 80°):
2θ (°), I (rel.), index
13.6, 100, 0 0 1
46.6, 55, 2 0 2
39.5, 47, 2 0 1
36.9, 36, 2 0 0
22.8, 33, 1 0 1
27.5, 20, 0 0 2
56.9, 16, 2 0 3
18.2, 14, 1 0 0
34.7, 13, 1 1 1
69.6, 12, 2 0 4
66.5, 11, 2 2 0
68.2, 9, 2 2 1

***

# 4
Structure and calculated X-ray diffraction stick pattern of TlCuOsSe2S (a structure optimized by DFT (PBE); Cu Ka).
Intensities are scaled so that the largest is 100.

Atomic structure:
```
data_TlCuOsSe2S
_cell_length_a 3.7731
_cell_length_b 14.2659
_cell_length_c 9.3280
_cell_angle_alpha 90.00
_cell_angle_beta 90.00
_cell_angle_gamma 90.00
_space_group_name_H-M_alt 'C m c m'
_space_group_IT_number 63
_space_group_name_Hall '-C 2c 2'
loop_
_atom_site_label
_atom_site_fract_x
_atom_site_fract_y
_atom_site_fract_z
_atom_site_occupancy
Tl1 0.0000 0.2439 0.2500 1
Cu1 0.0000 0.0268 0.7500 1
Os1 0.0000 0.5000 0.0000 1
Se1 0.0000 0.1181 0.5383 1
S1 0.0000 0.4363 0.7500 1
```

Main lines, most intense first (10° ≤ 2θ ≤ 80°):
2θ (°), I (rel.), index
22.8, 100, 0 2 2
31.8, 80, 1 3 1
44.3, 61, 1 5 2
36.0, 60, 1 3 2
38.6, 46, 0 0 4
30.2, 35, 1 3 0
38.0, 35, 1 1 3
26.2, 33, 1 1 1
25.0, 33, 0 4 0
48.2, 32, 2 0 0
58.5, 23, 1 3 5
42.7, 23, 0 6 2

***

# 5
Structure and calculated X-ray diffraction stick pattern of Cu3OsSe4 (a structure optimized by DFT (PBE); Cu Ka).
Intensities are scaled so that the largest is 100.

Atomic structure:
```
data_Cu3OsSe4
_cell_length_a 5.5571
_cell_length_b 5.5571
_cell_length_c 10.9258
_cell_angle_alpha 90.00
_cell_angle_beta 90.00
_cell_angle_gamma 90.00
_space_group_name_H-M_alt 'I -4 2 m'
_space_group_IT_number 121
_space_group_name_Hall 'I -4 2'
loop_
_atom_site_label
_atom_site_fract_x
_atom_site_fract_y
_atom_site_fract_z
_atom_site_occupancy
Cu1 0.0000 0.0000 0.0000 1
Cu2 0.0000 0.5000 0.2500 1
Os1 0.0000 0.0000 0.5000 1
Se1 0.2460 0.2460 0.6243 1
```

Main lines, most intense first (10° ≤ 2θ ≤ 80°):
2θ (°), I (rel.), index
28.0, 100, 1 1 2
46.6, 48, 2 0 4
54.9, 29, 3 1 2
46.2, 25, 2 2 0
17.9, 16, 1 0 1
55.6, 15, 1 1 6
75.1, 12, 3 1 6
67.4, 8, 4 0 0
74.5, 6, 3 3 2
16.2, 5, 0 0 2
37.1, 5, 2 1 1
22.6, 4, 1 1 0

***

# 6
Structure and calculated X-ray diffraction stick pattern of Cu3Te2OsSe2 (a structure optimized by DFT (PBE); Cu Ka).
Intensities are scaled so that the largest is 100.

Atomic structure:
```
data_Cu3Te2OsSe2
_cell_length_a 8.0656
_cell_length_b 8.3717
_cell_length_c 5.5469
_cell_angle_alpha 90.00
_cell_angle_beta 90.00
_cell_angle_gamma 90.00
_space_group_name_H-M_alt 'C m m 2'
_space_group_IT_number 35
loop_
_space_group_symop_operation_xyz
'x,y,z'
'-x,-y,z'
'-x,y,z'
'x,-y,z'
'x+1/2,y+1/2,z'
'-x+1/2,-y+1/2,z'
'-x+1/2,y+1/2,z'
'x+1/2,-y+1/2,z'
loop_
_atom_site_label
_atom_site_fract_x
_atom_site_fract_y
_atom_site_fract_z
_atom_site_occupancy
Cu1 0.0000 0.0000 0.0000 1
Cu2 0.2500 0.2500 0.5135 1
Te1 0.2220 0.5000 0.2429 1
Os1 0.0000 0.0000 0.4928 1
Se1 0.0000 0.2367 0.7467 1
```

Main lines, most intense first (10° ≤ 2θ ≤ 80°):
2θ (°), I (rel.), index
45.2, 100, 2 2 2
15.3, 65, 1 1 0
26.7, 63, 0 2 1
27.3, 45, 2 0 1
16.0, 39, 0 0 1
43.2, 29, 0 4 0
35.1, 26, 3 1 0
35.9, 26, 1 1 2
34.9, 26, 2 2 1
45.0, 23, 4 0 0
22.2, 17, 1 1 1
51.9, 16, 2 4 1

***

# 7
Structure and calculated X-ray diffraction stick pattern of Cu2SiOs (a structure optimized by DFT (PBE); Cu Ka).
Intensities are scaled so that the largest is 100.

Atomic structure:
```
data_Cu2SiOs
_cell_length_a 5.8353
_cell_length_b 5.8353
_cell_length_c 5.8353
_cell_angle_alpha 90.00
_cell_angle_beta 90.00
_cell_angle_gamma 90.00
_space_group_name_H-M_alt 'F -4 3 m'
_space_group_IT_number 216
_space_group_name_Hall 'F -4 2 3'
loop_
_atom_site_label
_atom_site_fract_x
_atom_site_fract_y
_atom_site_fract_z
_atom_site_occupancy
Cu1 0.0000 0.0000 0.0000 1
Cu2 0.2500 0.2500 0.2500 1
Si1 0.0000 0.0000 0.5000 1
Os1 0.2500 0.2500 0.7500 1
```

Main lines, most intense first (10° ≤ 2θ ≤ 80°):
2θ (°), I (rel.), index
43.9, 100, 2 2 0
26.5, 31, 1 1 1
30.6, 26, 2 0 0
63.8, 16, 4 0 0
52.0, 16, 3 1 1
72.4, 9, 4 2 0
54.5, 7, 2 2 2
70.3, 7, 3 3 1

***

# 8
Structure and calculated X-ray diffraction stick pattern of Cu5P2 (a structure optimized by DFT (PBE); Cu Ka).
Intensities are scaled so that the largest is 100.

Atomic structure:
```
data_Cu5P2
_cell_length_a 9.1704
_cell_length_b 16.5286
_cell_length_c 4.8953
_cell_angle_alpha 90.00
_cell_angle_beta 90.00
_cell_angle_gamma 90.00
_space_group_name_H-M_alt 'F d d 2'
_space_group_IT_number 43
_space_group_name_Hall 'F 2 -2d'
loop_
_atom_site_label
_atom_site_fract_x
_atom_site_fract_y
_atom_site_fract_z
_atom_site_occupancy
Cu1 0.0000 0.0000 0.0000 1
Cu2 0.0120 0.2429 0.5338 1
Cu3 0.0908 0.1254 0.2352 1
P1 0.0641 0.4393 0.0662 1
```

Main lines, most intense first (10° ≤ 2θ ≤ 80°):
2θ (°), I (rel.), index
47.5, 100, 2 4 2
45.2, 76, 4 4 0
38.4, 70, 3 3 1
43.7, 60, 1 7 1
21.3, 58, 1 1 1
41.8, 42, 2 0 2
43.3, 42, 2 2 2
43.8, 38, 0 8 0
56.1, 24, 5 3 1
44.4, 17, 3 5 1
21.5, 16, 0 4 0
73.0, 15, 6 0 2

***

# 9
Structure and calculated X-ray diffraction stick pattern of Cu4P13 (a structure optimized by DFT (PBE); Cu Ka).
Intensities are scaled so that the largest is 100.

Atomic structure:
```
data_Cu4P13
_cell_length_a 18.4216
_cell_length_b 3.5294
_cell_length_c 8.4788
_cell_angle_alpha 90.00
_cell_angle_beta 99.44
_cell_angle_gamma 90.00
_space_group_name_H-M_alt 'C 1 2/m 1'
_space_group_IT_number 12
loop_
_space_group_symop_operation_xyz
'x,y,z'
'-x,-y,-z'
'-x,y,-z'
'x,-y,z'
'x+1/2,y+1/2,z'
'-x+1/2,-y+1/2,-z'
'-x+1/2,y+1/2,-z'
'x+1/2,-y+1/2,z'
loop_
_atom_site_label
_atom_site_fract_x
_atom_site_fract_y
_atom_site_fract_z
_atom_site_occupancy
Cu1 0.0805 0.0000 0.4354 1
Cu2 0.1622 0.5000 0.0598 1
P1 0.0000 0.5000 0.5000 1
P2 0.0190 0.5000 0.7855 1
P3 0.0542 0.0000 0.9537 1
P4 0.0993 0.5000 0.2684 1
P5 0.1695 0.0000 0.7119 1
P6 0.2119 0.0000 0.4813 1
P7 0.2294 0.5000 0.8515 1
```

Main lines, most intense first (10° ≤ 2θ ≤ 80°):
2θ (°), I (rel.), index
32.0, 100, 3 1 1
51.8, 71, 0 2 0
37.9, 56, 3 1 2
33.1, 48, 6 0 1
15.5, 47, 2 0 1
43.3, 46, 7 1 0
45.9, 45, 7 1 -2
27.6, 44, 1 1 -1
26.5, 40, 4 0 -2
50.3, 40, 1 1 -4
30.4, 40, 3 1 -1
34.1, 34, 1 1 2

***

# 10
Structure and calculated X-ray diffraction stick pattern of Cu3P (a structure optimized by DFT (PBE); Cu Ka).
Intensities are scaled so that the largest is 100.

Atomic structure:
```
data_Cu3P
_cell_length_a 6.9592
_cell_length_b 6.9592
_cell_length_c 7.1466
_cell_angle_alpha 90.00
_cell_angle_beta 90.00
_cell_angle_gamma 120.00
_space_group_name_H-M_alt 'P -3 c 1'
_space_group_IT_number 165
_space_group_name_Hall '-P 3 2"c'
loop_
_atom_site_label
_atom_site_fract_x
_atom_site_fract_y
_atom_site_fract_z
_atom_site_occupancy
Cu1 0.0000 0.0000 0.0000 1
Cu2 0.0686 0.3850 0.4208 1
Cu3 0.3333 0.6667 0.1728 1
P1 0.0000 0.3206 0.7500 1
```

Main lines, most intense first (10° ≤ 2θ ≤ 80°):
2θ (°), I (rel.), index
45.1, 100, 3 0 0
46.2, 94, 1 1 3
39.1, 65, 2 0 2
41.6, 62, 2 1 1
47.3, 53, 1 2 2
73.4, 22, 2 3 2
53.5, 20, 1 0 4
29.1, 18, 0 1 2
78.3, 18, 1 3 4
69.2, 14, 3 2 1
66.5, 13, 2 2 3
28.5, 11, 1 1 1

***

# 11
Structure and calculated X-ray diffraction stick pattern of CuP2 (a structure optimized by DFT (PBE); Cu Ka).
Intensities are scaled so that the largest is 100.

Atomic structure:
```
data_CuP2
_cell_length_a 5.7963
_cell_length_b 4.8054
_cell_length_c 7.5122
_cell_angle_alpha 90.00
_cell_angle_beta 112.73
_cell_angle_gamma 90.00
_space_group_name_H-M_alt 'P 1 21/c 1'
_space_group_IT_number 14
loop_
_space_group_symop_operation_xyz
'x,y,z'
'-x,-y,-z'
'-x,y+1/2,-z+1/2'
'x,-y+1/2,z+1/2'
loop_
_atom_site_label
_atom_site_fract_x
_atom_site_fract_y
_atom_site_fract_z
_atom_site_occupancy
Cu1 0.1437 0.0389 0.4164 1
P1 0.2471 0.7224 0.6992 1
P2 0.4051 0.1158 0.0793 1
```

Main lines, most intense first (10° ≤ 2θ ≤ 80°):
2θ (°), I (rel.), index
31.0, 100, 1 1 1
22.5, 23, 0 1 1
50.5, 19, 2 0 2
33.5, 16, 2 0 -2
40.7, 15, 1 1 -3
51.1, 14, 2 2 -2
51.4, 13, 3 1 -1
52.9, 11, 1 2 2
36.2, 10, 2 1 -1
54.9, 9, 3 1 0
65.7, 9, 1 1 -5
49.3, 9, 2 2 -1

***

# 12
Structure and calculated X-ray diffraction stick pattern of PrSmCu2P4 (a structure optimized by DFT (PBE); Cu Ka).
Intensities are scaled so that the largest is 100.

Atomic structure:
```
data_PrSmCu2P4
_cell_length_a 3.7996
_cell_length_b 3.7996
_cell_length_c 10.0284
_cell_angle_alpha 90.00
_cell_angle_beta 90.00
_cell_angle_gamma 90.00
_space_group_name_H-M_alt 'P 4 m m'
_space_group_IT_number 99
loop_
_space_group_symop_operation_xyz
'x,y,z'
'-y,x,z'
'-x,-y,z'
'y,-x,z'
'-x,y,z'
'y,x,z'
'x,-y,z'
'-y,-x,z'
loop_
_atom_site_label
_atom_site_fract_x
_atom_site_fract_y
_atom_site_fract_z
_atom_site_occupancy
Pr1 0.0000 0.0000 0.0000 1
Sm1 0.5000 0.5000 0.4670 1
Cu1 0.0000 0.5000 0.7300 1
P1 0.0000 0.0000 0.5830 1
P2 0.0000 0.5000 0.2366 1
P3 0.5000 0.5000 0.8757 1
```

Main lines, most intense first (10° ≤ 2θ ≤ 80°):
2θ (°), I (rel.), index
38.0, 100, 1 1 2
25.1, 68, 1 0 1
35.8, 63, 0 0 4
61.2, 34, 2 0 4
47.9, 31, 2 0 0
51.5, 18, 1 0 5
54.8, 16, 2 1 1
73.0, 12, 2 1 5
65.8, 12, 1 1 6
29.5, 11, 1 0 2
70.0, 10, 2 2 0
57.3, 9, 1 1 5